[1]
Theoretical X-ray diffraction stick pattern of Cd2Pb5F12 for Cu Ka, from a cell relaxed with PBE.
Kinematic intensities with the Lorentz-polarization factor, no thermal factor.

Cell and atoms:
```
data_Cd2Pb5F12
_cell_length_a 14.170
_cell_length_b 6.158
_cell_length_c 8.258
_cell_angle_alpha 90.00
_cell_angle_beta 105.71
_cell_angle_gamma 90.00
_symmetry_space_group_name_H-M 'C 1 2/m 1'
_symmetry_Int_Tables_number 12
_symmetry_space_group_name_Hall '-C 2y'
loop_
_atom_site_label
_atom_site_type_symbol
_atom_site_fract_x
_atom_site_fract_y
_atom_site_fract_z
Cd1 Cd 0.000 0.221 0.000
Pb1 Pb 0.000 0.500 0.500
Pb2 Pb 0.177 0.000 0.352
Pb3 Pb 0.180 0.000 0.831
F1 F 0.004 0.000 0.318
F2 F 0.005 0.500 0.813
F3 F 0.158 0.262 0.576
F4 F 0.181 0.249 0.105
```

Main lines, by angle (5 to 70 degrees two-theta):
- 24.3°, rel. 100, hkl 3 1 0
- 26.0°, rel. 89, hkl 1 1 -2
- 28.9°, rel. 47, hkl 2 0 2
- 29.0°, rel. 22, hkl 0 2 0
- 29.5°, rel. 34, hkl 4 0 -2
- 39.6°, rel. 30, hkl 6 0 0
- 41.4°, rel. 21, hkl 2 2 2
- 43.9°, rel. 22, hkl 2 0 -4
- 47.6°, rel. 22, hkl 5 1 2
- 48.7°, rel. 28, hkl 3 3 0

[2]
Theoretical X-ray diffraction stick pattern of ScCd2PbF for Cu Ka, from a cell relaxed with PBE.
Kinematic intensities with the Lorentz-polarization factor, no thermal factor.

Cell and atoms:
```
data_ScCd2PbF
_cell_length_a 5.778
_cell_length_b 5.778
_cell_length_c 5.695
_cell_angle_alpha 90.00
_cell_angle_beta 90.00
_cell_angle_gamma 90.00
_symmetry_space_group_name_H-M 'P 4/m m m'
_symmetry_Int_Tables_number 123
_symmetry_space_group_name_Hall '-P 4 2'
loop_
_atom_site_label
_atom_site_type_symbol
_atom_site_fract_x
_atom_site_fract_y
_atom_site_fract_z
Sc1 Sc 0.000 0.000 0.000
Cd1 Cd 0.000 0.500 0.000
Pb1 Pb 0.000 0.000 0.500
F1 F 0.500 0.500 0.500
```

Main lines, by angle (5 to 70 degrees two-theta):
- 15.3°, rel. 57, hkl 1 0 0
- 21.9°, rel. 18, hkl 1 0 1
- 26.9°, rel. 100, hkl 1 1 1
- 31.0°, rel. 52, hkl 2 0 0
- 31.4°, rel. 25, hkl 0 0 2
- 34.7°, rel. 16, hkl 2 1 0
- 44.3°, rel. 19, hkl 2 2 0
- 44.7°, rel. 37, hkl 2 0 2
- 52.6°, rel. 31, hkl 3 1 1
- 55.4°, rel. 19, hkl 2 2 2

[3]
Theoretical X-ray diffraction stick pattern of CdSnPbF6 for Cu Ka, from a cell relaxed with PBE.
Kinematic intensities with the Lorentz-polarization factor, no thermal factor.

Cell and atoms:
```
data_CdSnPbF6
_cell_length_a 6.2513
_cell_length_b 6.2513
_cell_length_c 4.2708
_cell_angle_alpha 90.00
_cell_angle_beta 90.00
_cell_angle_gamma 120.00
_symmetry_space_group_name_H-M 'P 3'
_symmetry_Int_Tables_number 143
_symmetry_space_group_name_Hall 'P 3'
loop_
_atom_site_label
_atom_site_type_symbol
_atom_site_fract_x
_atom_site_fract_y
_atom_site_fract_z
Cd1 Cd 0.0000 0.0000 0.0000
Sn1 Sn 0.3333 0.6667 0.3862
Pb1 Pb 0.6667 0.3333 0.8105
F1 F 0.0899 0.7297 0.7252
F2 F 0.3642 0.0872 0.2136
```

Main lines, by angle (5 to 70 degrees two-theta):
- 26.6°, rel. 100, hkl 0 1 1
- 28.6°, rel. 78, hkl 1 1 0
- 35.6°, rel. 16, hkl 2 -1 1
- 39.4°, rel. 54, hkl 2 0 1
- 45.7°, rel. 20, hkl 1 0 2
- 49.4°, rel. 44, hkl 3 -2 1
- 50.6°, rel. 25, hkl 3 0 0
- 51.9°, rel. 16, hkl 2 -1 2
- 62.9°, rel. 15, hkl 3 -1 2
- 65.9°, rel. 16, hkl 3 1 1

[4]
Theoretical X-ray diffraction stick pattern of Sr2CdPbF8 for Cu Ka, from a cell relaxed with PBE.
Kinematic intensities with the Lorentz-polarization factor, no thermal factor.

Cell and atoms:
```
data_Sr2CdPbF8
_cell_length_a 4.122
_cell_length_b 5.788
_cell_length_c 8.178
_cell_angle_alpha 90.00
_cell_angle_beta 90.00
_cell_angle_gamma 90.00
_symmetry_space_group_name_H-M 'P m m m'
_symmetry_Int_Tables_number 47
_symmetry_space_group_name_Hall '-P 2 2'
loop_
_atom_site_label
_atom_site_type_symbol
_atom_site_fract_x
_atom_site_fract_y
_atom_site_fract_z
Sr1 Sr 0.000 0.000 0.241
Cd1 Cd 0.500 0.500 0.000
Pb1 Pb 0.500 0.500 0.500
F1 F 0.000 0.241 0.500
F2 F 0.000 0.265 0.000
F3 F 0.500 0.254 0.235
```

Main lines, by angle (5 to 70 degrees two-theta):
- 15.3°, rel. 15, hkl 0 1 0
- 26.5°, rel. 100, hkl 1 1 0
- 26.7°, rel. 98, hkl 0 1 2
- 30.8°, rel. 46, hkl 0 2 0
- 43.9°, rel. 22, hkl 2 0 0
- 44.2°, rel. 85, hkl 1 2 2
- 44.3°, rel. 21, hkl 0 0 4
- 52.1°, rel. 31, hkl 2 1 2
- 52.4°, rel. 61, hkl 0 3 2
- 64.2°, rel. 13, hkl 2 0 4